This entry pairs a crystal structure of YbH12Cl3O6 with its calculated XRD peak list. Radiation: Cu Ka. Structure: a structure optimized by DFT (GGA-PBE).

The 10 most intense peaks (2θ = 10–90°), sorted by position:
two_theta	intensity
14.17	100
14.88	100
16.11	86
17.44	88
18.29	57
22.67	69
24.96	83
25.79	71
28.28	47
40.70	53

```
data_YbH12Cl3O6
_chemical_formula_sum 'Yb2 H24 Cl6 O12'
_cell_length_a 7.8520
_cell_length_b 6.6784
_cell_length_c 12.1812
_cell_angle_alpha 90.00
_cell_angle_beta 127.23
_cell_angle_gamma 90.00
_symmetry_space_group_name_H-M 'P 1 2/c 1'
_symmetry_Int_Tables_number 13
loop_
_symmetry_equiv_pos_as_xyz
'x,y,z'
'-x,-y,-z'
'-x,y,-z+1/2'
'x,-y,z+1/2'
loop_
_atom_site_label
_atom_site_type_symbol
_atom_site_fract_x
_atom_site_fract_y
_atom_site_fract_z
Yb1 Yb 0.0000 0.1660 0.2500
H1 H 0.0288 0.4437 0.8813
H2 H 0.2058 0.4833 0.1881
H3 H 0.2312 0.1025 0.1260
H4 H 0.3146 0.0746 0.7314
H5 H 0.3703 0.3174 0.5360
H6 H 0.4711 0.2410 0.4655
Cl1 Cl 0.1991 0.1624 0.9387
Cl2 Cl 0.5000 0.3502 0.7500
O1 O 0.0612 0.4345 0.1501
O2 O 0.2510 0.0603 0.2111
O3 O 0.3350 0.2889 0.4446
```